Record 1
For Ti4GaRe3, a GGA-PBE-relaxed structure gives the simulated PXRD pattern in this record (Cu Kα X-rays).
Kinematic intensities with the Lorentz-polarization factor, no thermal factor.

Principal peaks in the range 2θ = 10–90°, by angle:
d/Å	2θ (°)	I/Imax	hkl
8.763	10.09	11	0 0 1
3.173	28.12	19	1 0 0
3.106	28.74	36	0 1 2
2.220	40.65	100	1 1 2
2.202	40.99	24	0 2 0
2.191	41.21	24	0 0 4
1.587	58.14	9	2 0 0
1.553	59.53	16	0 2 4
1.287	73.58	8	2 2 0
1.275	74.43	17	1 3 2
1.270	74.73	16	1 1 6
1.110	87.99	11	2 2 4

Structure:
Cell: 3.1734 4.4037 8.7630 Å, 90.00 90.00 90.00°
Space group Pmmm (No. 47)
Symmetry-distinct sites (fractional):
Ti  0.0000  0.0000  0.0000 x1
Ti  0.0000  0.0000  0.5000 x1
Ti  0.0000  0.5000  0.2422 x2
Ga  0.5000  0.5000  0.5000 x1
Re  0.5000  0.0000  0.2551 x2
Re  0.5000  0.5000  0.0000 x1

---

Record 2
For TlGa2Re, a GGA-PBE-relaxed structure gives the simulated PXRD pattern in this record (Cu Kα X-rays).
Kinematic intensities with the Lorentz-polarization factor, no thermal factor.

Principal peaks in the range 2θ = 10–90°, by angle:
d/Å	2θ (°)	I/Imax	hkl
4.562	19.46	27	0 0 4
2.831	31.60	100	1 1 2
2.281	39.51	24	0 0 8
2.128	42.48	45	1 1 6
2.106	42.95	9	2 0 0
1.912	47.56	50	2 0 4
1.556	59.40	17	1 1 10
1.489	62.36	10	2 2 0
1.318	71.60	18	3 1 2
1.247	76.38	11	2 2 8
1.233	77.41	12	2 0 12
1.220	78.38	14	3 1 6

Structure:
Cell: 4.2116 4.2116 18.2475 Å, 90.00 90.00 90.00°
Space group I-42d (No. 122)
Symmetry-distinct sites (fractional):
Tl  0.0000  0.0000  0.0000 x4
Ga  0.1767  0.2500  0.6250 x8
Re  0.0000  0.0000  0.5000 x4

---

Record 3
For Tm4Ga12Re, a GGA-PBE-relaxed structure gives the simulated PXRD pattern in this record (Cu Kα X-rays).
Kinematic intensities with the Lorentz-polarization factor, no thermal factor.

Principal peaks in the range 2θ = 10–90°, by angle:
d/Å	2θ (°)	I/Imax	hkl
3.034	29.44	55	2 2 0
2.714	33.01	14	3 1 0
2.477	36.26	100	2 2 2
2.294	39.28	21	3 2 1
2.146	42.12	79	4 0 0
1.830	49.84	12	3 3 2
1.752	52.22	18	4 2 2
1.517	61.08	48	4 4 0
1.357	69.24	15	6 2 0
1.294	73.15	30	6 2 2
1.239	76.98	15	4 4 4
1.147	84.48	14	6 4 2

Structure:
Cell: 8.5821 8.5821 8.5821 Å, 90.00 90.00 90.00°
Space group Im-3m (No. 229)
Symmetry-distinct sites (fractional):
Tm  0.2500  0.2500  0.2500 x8
Ga  0.0000  0.0000  0.2926 x12
Ga  0.0000  0.2500  0.5000 x12
Re  0.0000  0.0000  0.0000 x2

---

Record 4
For UGaRe, a GGA-PBE-relaxed structure gives the simulated PXRD pattern in this record (Cu Kα X-rays).
Kinematic intensities with the Lorentz-polarization factor, no thermal factor.

Principal peaks in the range 2θ = 10–90°, by angle:
d/Å	2θ (°)	I/Imax	hkl
4.132	21.51	32	1 0 0
2.385	37.71	100	1 1 0
2.261	39.88	99	1 0 1
2.066	43.82	5	2 0 0
1.641	56.05	38	2 0 1
1.562	59.16	5	2 1 0
1.377	68.08	18	3 0 0
1.352	69.55	46	0 0 2
1.284	73.83	3	1 0 2
1.193	80.53	12	2 2 0
1.175	82.00	22	1 1 2
1.146	84.56	2	3 1 0

Structure:
Cell: 4.7709 4.7709 2.7006 Å, 90.00 90.00 120.00°
Space group P-6m2 (No. 187)
Symmetry-distinct sites (fractional):
U  0.0000  0.0000  0.0000 x1
Ga  0.3333  0.6667  0.5000 x1
Re  0.6667  0.3333  0.5000 x1

---

Record 5
For ZnGa2Re2, a GGA-PBE-relaxed structure gives the simulated PXRD pattern in this record (Cu Kα X-rays).
Kinematic intensities with the Lorentz-polarization factor, no thermal factor.

Principal peaks in the range 2θ = 10–90°, by angle:
d/Å	2θ (°)	I/Imax	hkl
4.743	18.71	16	1 1 0
3.499	25.46	22	0 0 1
3.000	29.78	19	2 1 0
2.277	39.57	100	2 1 1
2.121	42.62	34	3 1 0
1.814	50.30	13	3 1 1
1.749	52.30	13	0 0 2
1.677	54.73	9	4 0 0
1.642	55.99	11	3 2 1
1.512	61.33	8	4 0 1
1.350	69.67	15	3 1 2
1.173	82.14	23	5 2 1

Structure:
Cell: 6.7083 6.7083 3.4987 Å, 90.00 90.00 90.00°
Space group P4/mbm (No. 127)
Symmetry-distinct sites (fractional):
Zn  0.0000  0.0000  0.0000 x2
Ga  0.1585  0.3415  0.5000 x4
Re  0.1396  0.6396  0.0000 x4

---

Record 6
For GaSnRuRh, a GGA-PBE-relaxed structure gives the simulated PXRD pattern in this record (Cu Kα X-rays).
Kinematic intensities with the Lorentz-polarization factor, no thermal factor.

Principal peaks in the range 2θ = 10–90°, by angle:
d/Å	2θ (°)	I/Imax	hkl
2.234	40.38	100	1 1 1
2.219	40.66	25	0 0 2
2.203	40.98	24	0 2 0
1.596	57.75	9	2 0 0
1.563	59.10	16	0 2 2
1.296	73.01	9	2 0 2
1.293	73.23	9	2 2 0
1.284	73.80	17	1 1 3
1.278	74.23	16	1 3 1
1.117	87.30	11	2 2 2
1.110	88.02	3	0 0 4
1.101	88.86	3	0 4 0

Structure:
Cell: 3.1928 4.4051 4.4382 Å, 90.00 90.00 90.00°
Space group Pmmm (No. 47)
Symmetry-distinct sites (fractional):
Ga  0.0000  0.0000  0.0000 x1
Sn  0.0000  0.5000  0.5000 x1
Ru  0.5000  0.5000  0.0000 x1
Rh  0.5000  0.0000  0.5000 x1

---

Record 7
For Th4Ga3RuRh12, a GGA-PBE-relaxed structure gives the simulated PXRD pattern in this record (Cu Kα X-rays).
Kinematic intensities with the Lorentz-polarization factor, no thermal factor.

Principal peaks in the range 2θ = 10–90°, by angle:
d/Å	2θ (°)	I/Imax	hkl
4.619	19.22	1	2 0 0
3.266	27.31	47	2 2 0
2.667	33.61	100	2 2 2
2.309	39.00	91	4 0 0
2.066	43.83	1	4 2 0
1.886	48.26	21	4 2 2
1.633	56.34	62	4 4 0
1.461	63.71	9	6 2 0
1.393	67.22	40	6 2 2
1.333	70.64	21	4 4 4
1.234	77.29	11	6 4 2
1.155	83.77	10	8 0 0

Structure:
Cell: 9.2380 9.2380 9.2380 Å, 90.00 90.00 90.00°
Space group Im-3m (No. 229)
Symmetry-distinct sites (fractional):
Th  0.2500  0.2500  0.2500 x8
Ga  0.0000  0.0000  0.5000 x6
Ru  0.0000  0.0000  0.0000 x2
Rh  0.0000  0.0000  0.2559 x12
Rh  0.0000  0.2500  0.5000 x12

---

Record 8
For GaRhS2, a GGA-PBE-relaxed structure gives the simulated PXRD pattern in this record (Cu Kα X-rays).
Kinematic intensities with the Lorentz-polarization factor, no thermal factor.

Principal peaks in the range 2θ = 10–90°, by angle:
d/Å	2θ (°)	I/Imax	hkl
7.600	11.64	49	0 0 3
3.800	23.41	41	0 0 6
2.975	30.04	100	0 1 2
2.711	33.05	29	1 0 4
2.553	35.15	15	0 1 5
2.092	43.24	56	0 1 8
1.833	49.75	32	1 0 10
1.779	51.36	36	1 1 0
1.611	57.17	21	1 1 6
1.527	60.65	13	2 0 2
1.355	69.33	13	2 0 8
1.158	83.43	12	1 2 2

Structure:
Cell: 3.5581 3.5581 22.7995 Å, 90.00 90.00 120.00°
Space group R-3m (No. 166, hexagonal axes)
Symmetry-distinct sites (fractional):
Ga  0.0000  0.0000  0.0000 x3
Rh  0.0000  0.0000  0.5000 x3
S  0.0000  0.0000  0.1144 x6

---

Question: What is the formula in the first record?
Answer: Ti4GaRe3

---

Please write out number 5 again, unchanged.
For ZnGa2Re2, a GGA-PBE-relaxed structure gives the simulated PXRD pattern in this record (Cu Kα X-rays).
Kinematic intensities with the Lorentz-polarization factor, no thermal factor.

Principal peaks in the range 2θ = 10–90°, by angle:
d/Å	2θ (°)	I/Imax	hkl
4.743	18.71	16	1 1 0
3.499	25.46	22	0 0 1
3.000	29.78	19	2 1 0
2.277	39.57	100	2 1 1
2.121	42.62	34	3 1 0
1.814	50.30	13	3 1 1
1.749	52.30	13	0 0 2
1.677	54.73	9	4 0 0
1.642	55.99	11	3 2 1
1.512	61.33	8	4 0 1
1.350	69.67	15	3 1 2
1.173	82.14	23	5 2 1

Structure:
Cell: 6.7083 6.7083 3.4987 Å, 90.00 90.00 90.00°
Space group P4/mbm (No. 127)
Symmetry-distinct sites (fractional):
Zn  0.0000  0.0000  0.0000 x2
Ga  0.1585  0.3415  0.5000 x4
Re  0.1396  0.6396  0.0000 x4